1.
LiTbNdEr: computed powder diffractogram (Cu Kα (weighted mean of Kα1 and Kα2)), based on a DFT-relaxed cell (GGA-PBE, Alexandria).
Intensities are scaled so that the largest is 100.

Main lines, by angle (2θ = 10–90°):
h k l  d [Å]  2θ/deg  Rel. int.
1 1 1  4.510  19.69  26.3
2 0 0  3.906  22.77  9.5
2 2 0  2.762  32.42  100.0
3 1 1  2.355  38.21  14.9
4 0 0  1.953  46.50  18.4
3 3 1  1.792  50.96  6.5
4 2 2  1.594  57.83  38.6
5 1 1  1.503  61.71  4.9
4 4 0  1.381  67.88  11.9
6 2 0  1.235  77.25  16.5

Cell and atoms:
Cell: 7.8112 7.8112 7.8112 Å, 90.00 90.00 90.00°
Space group F-43m (No. 216)
Asymmetric unit:
Li: 0.0000 0.0000 0.0000
Tb: 0.2500 0.2500 0.2500
Nd: 0.2500 0.2500 0.7500
Er: 0.0000 0.0000 0.5000


2.
Tb7Bi2Ru2: computed powder diffractogram (Cu Kα (weighted mean of Kα1 and Kα2)), based on a DFT-relaxed cell (GGA-PBE, Alexandria).
Intensities are scaled so that the largest is 100.

Main lines, by angle (2θ = 10–90°):
h k l  d [Å]  2θ/deg  Rel. int.
1 3 0  3.213  27.76  14.7
0 5 1  3.099  28.81  14.1
1 1 2  2.986  29.92  30.1
0 6 0  2.732  32.78  100.0
0 3 3  2.725  32.86  52.6
1 3 2  2.655  33.76  41.1
1 0 3  2.464  36.46  13.4
0 6 2  2.362  38.10  37.3
2 0 0  1.985  45.70  24.0
2 3 3  1.605  57.41  30.4

Cell and atoms:
Cell: 3.9703 16.4110 9.4291 Å, 90.00 90.00 90.00°
Space group Imm2 (No. 44)
Asymmetric unit:
Tb: 0.0000 0.0000 0.0000
Tb: 0.0000 0.1325 0.5833
Tb: 0.0000 0.3173 0.3807
Tb: 0.0000 0.3428 0.7437
Bi: 0.0000 0.0000 0.3315
Bi: 0.0000 0.5000 0.2398
Ru: 0.0000 0.2423 0.0670


3.
FeCl8: computed powder diffractogram (Cu Kα (weighted mean of Kα1 and Kα2)), based on a DFT-relaxed cell (GGA-PBE, Alexandria).
Intensities are scaled so that the largest is 100.

Main lines, by angle (2θ = 10–90°):
h k l  d [Å]  2θ/deg  Rel. int.
0 1 1  6.481  13.66  100.0
2 0 0  4.058  21.90  94.7
2 1 1  3.440  25.90  25.7
1 0 3  3.274  27.24  47.3
1 3 0  2.574  34.86  25.2
3 0 3  2.159  41.85  13.8
4 0 0  2.029  44.67  11.1
1 4 1  1.942  46.78  13.7
2 1 5  1.848  49.31  13.0
1 4 5  1.453  64.08  11.4

Cell and atoms:
Cell: 8.1144 8.1424 10.7328 Å, 90.00 90.00 90.00°
Space group Immm (No. 71)
Asymmetric unit:
Fe: 0.0000 0.0000 0.0000
Cl: 0.0000 0.0000 0.2042
Cl: 0.0000 0.2638 0.0000
Cl: 0.0000 0.3770 0.3177


4.
PrNd5Al4: computed powder diffractogram (Cu Kα (weighted mean of Kα1 and Kα2)), based on a DFT-relaxed cell (GGA-PBE, Alexandria).
Intensities are scaled so that the largest is 100.

Main lines, by angle (2θ = 10–90°):
h k l  d [Å]  2θ/deg  Rel. int.
1 0 0  3.698  24.06  37.4
0 0 6  3.410  26.13  17.2
1 0 4  2.997  29.81  18.6
1 0 5  2.744  32.63  100.0
1 1 0  2.615  34.29  64.7
1 0 6  2.507  35.82  16.6
1 1 6  2.075  43.61  17.6
2 0 0  1.849  49.28  23.2
1 0 11  1.662  55.28  19.0
2 1 5  1.533  60.36  34.0

Cell and atoms:
Cell: 3.6983 3.6983 20.4630 Å, 90.00 90.00 90.00°
Space group P4/mmm (No. 123)
Asymmetric unit:
Pr: 0.0000 0.0000 0.0000
Nd: 0.5000 0.5000 0.1311
Nd: 0.5000 0.5000 0.3152
Nd: 0.5000 0.5000 0.5000
Al: 0.0000 0.0000 0.2214
Al: 0.0000 0.0000 0.4074


5.
SmGa3Pt: computed powder diffractogram (Cu Kα (weighted mean of Kα1 and Kα2)), based on a DFT-relaxed cell (GGA-PBE, Alexandria).
Intensities are scaled so that the largest is 100.

Main lines, by angle (2θ = 10–90°):
h k l  d [Å]  2θ/deg  Rel. int.
1 0 1  6.633  13.35  23.1
0 1 1  3.990  22.28  24.5
2 0 1  3.898  22.82  22.1
2 1 0  2.989  29.89  22.1
1 1 3  2.635  34.03  100.0
2 1 2  2.623  34.19  30.4
3 1 1  2.283  39.48  71.5
0 2 0  2.143  42.17  44.8
0 1 5  1.949  46.61  20.5
1 3 3  1.313  71.90  18.6

Cell and atoms:
Cell: 8.3431 4.2856 10.9355 Å, 90.00 90.00 90.00°
Space group Pnma (No. 62)
Asymmetric unit:
Sm: 0.1969 0.2500 0.0202
Ga: 0.0676 0.2500 0.5894
Ga: 0.1118 0.7500 0.8196
Ga: 0.1420 0.7500 0.2149
Pt: 0.0892 0.2500 0.3506


6.
CsNa2LaBr6: computed powder diffractogram (Cu Kα (weighted mean of Kα1 and Kα2)), based on a DFT-relaxed cell (GGA-PBE, Alexandria).
Intensities are scaled so that the largest is 100.

Main lines, by angle (2θ = 10–90°):
h k l  d [Å]  2θ/deg  Rel. int.
0 1 2  5.723  15.48  57.7
1 0 4  4.207  21.12  41.2
2 -1 3  3.428  25.99  100.0
2 0 2  3.225  27.66  51.7
0 2 4  2.862  31.26  36.9
2 -1 6  2.640  33.96  74.9
3 -1 4  2.308  39.03  26.6
3 0 0  2.254  40.00  43.6
1 1 9  2.037  44.47  33.6
5 -1 6  1.364  68.81  25.4

Cell and atoms:
Cell: 7.8078 7.8078 21.4973 Å, 90.00 90.00 120.00°
Space group R3 (No. 146, hexagonal axes)
Asymmetric unit:
Cs: 0.0000 0.0000 0.0000
Na: 0.0000 0.0000 0.2743
Na: 0.0000 0.0000 0.7916
La: 0.0000 0.0000 0.4699
Br: 0.0022 0.3346 0.5363
Br: 0.0154 0.5690 0.0438